No. 1
This entry pairs a crystal structure of RbBiO3 with its calculated powder diffraction line list. Radiation: copper Kα. Structure: a crystal structure in the Materials Project, relaxed with GGA-PBE.

The 8 most intense peaks (2θ from 10° to 90°), low angle first:
d = 4.335 Å, rel. 28
d = 3.065 Å, rel. 100
d = 2.168 Å, rel. 29
d = 1.939 Å, rel. 14
d = 1.770 Å, rel. 42
d = 1.533 Å, rel. 19
d = 1.371 Å, rel. 19
d = 1.159 Å, rel. 23

Structural model:
Cell lengths 4.335, 4.335, 4.335 Å; angles 90.00, 90.00, 90.00 degrees
Element x y z (fractional)
Rb 0.000 0.000 0.000
Bi 0.500 0.500 0.500
O 0.000 0.500 0.500
O 0.500 0.000 0.500
O 0.500 0.500 0.000

=====

No. 2
This entry pairs a crystal structure of InSn2I5 with its calculated powder diffraction line list. Radiation: copper Kα. Structure: a crystal structure in the Materials Project, relaxed with GGA-PBE.

The 8 most intense peaks (2θ from 10° to 90°), low angle first:
d = 3.326 Å, rel. 24
d = 3.170 Å, rel. 100
d = 3.154 Å, rel. 16
d = 2.821 Å, rel. 56
d = 2.463 Å, rel. 20
d = 1.998 Å, rel. 33
d = 1.608 Å, rel. 17
d = 1.579 Å, rel. 17

Structural model:
Cell lengths 10.053, 10.053, 10.053 Å; angles 127.31, 127.31, 77.74 degrees
Element x y z (fractional)
In 0.250 0.250 0.000
In 0.750 0.750 0.000
Sn 0.172 0.672 0.843
Sn 0.328 0.172 0.500
Sn 0.672 0.828 0.500
Sn 0.828 0.328 0.157
I 0.000 0.000 0.000
I 0.021 0.203 0.500
I 0.203 0.703 0.181
I 0.297 0.479 0.500
I 0.479 0.979 0.181
I 0.500 0.500 0.000
I 0.521 0.021 0.819
I 0.703 0.521 0.500
I 0.797 0.297 0.819
I 0.979 0.797 0.500

=====

No. 3
This entry pairs a crystal structure of MgCuTeO4 with its calculated powder diffraction line list. Radiation: copper Kα. Structure: a crystal structure in the Materials Project, relaxed with GGA-PBE.

The 8 most intense peaks (2θ from 10° to 90°), low angle first:
d = 5.616 Å, rel. 46
d = 4.734 Å, rel. 100
d = 3.353 Å, rel. 42
d = 2.808 Å, rel. 29
d = 2.735 Å, rel. 52
d = 2.701 Å, rel. 33
d = 2.367 Å, rel. 27
d = 1.772 Å, rel. 24

Structural model:
Cell lengths 3.131, 5.661, 5.955 Å; angles 70.59, 89.80, 89.81 degrees
Element x y z (fractional)
Mg 0.000 0.000 0.000
Cu 0.583 0.014 0.499
Te 0.165 0.501 0.994
O 0.085 0.873 0.710
O 0.087 0.151 0.280
O 0.502 0.715 0.130
O 0.509 0.280 0.868

=====

No. 4
This entry pairs a crystal structure of GeSb with its calculated powder diffraction line list. Radiation: copper Kα. Structure: a crystal structure in the Materials Project, relaxed with GGA-PBE.

The 8 most intense peaks (2θ from 10° to 90°), low angle first:
d = 3.713 Å, rel. 100
d = 2.273 Å, rel. 75
d = 1.939 Å, rel. 49
d = 1.608 Å, rel. 13
d = 1.475 Å, rel. 20
d = 1.313 Å, rel. 25
d = 1.238 Å, rel. 15
d = 1.137 Å, rel. 8

Structural model:
Cell lengths 6.430, 6.430, 6.430 Å; angles 90.00, 90.00, 90.00 degrees
Element x y z (fractional)
Ge 0.000 0.000 0.000
Ge 0.000 0.500 0.500
Ge 0.500 0.000 0.500
Ge 0.500 0.500 0.000
Sb 0.250 0.250 0.250
Sb 0.250 0.750 0.750
Sb 0.750 0.250 0.750
Sb 0.750 0.750 0.250

=====

No. 5
This entry pairs a crystal structure of ZnNi3C with its calculated powder diffraction line list. Radiation: copper Kα. Structure: a crystal structure in the Materials Project, relaxed with GGA-PBE.

The 5 most intense peaks (2θ from 10° to 90°), low angle first:
d = 2.663 Å, rel. 1
d = 2.174 Å, rel. 100
d = 1.883 Å, rel. 54
d = 1.332 Å, rel. 32
d = 1.136 Å, rel. 33

Structural model:
Cell lengths 3.766, 3.766, 3.766 Å; angles 90.00, 90.00, 90.00 degrees
Element x y z (fractional)
Zn 0.000 0.000 0.000
Ni 0.000 0.500 0.500
Ni 0.500 0.000 0.500
Ni 0.500 0.500 0.000
C 0.500 0.500 0.500

=====

No. 6
This entry pairs a crystal structure of K2LiNb6P3O24 with its calculated powder diffraction line list. Radiation: copper Kα. Structure: a crystal structure in the Materials Project, relaxed with GGA-PBE.

The 8 most intense peaks (2θ from 10° to 90°), low angle first:
d = 7.836 Å, rel. 27
d = 6.736 Å, rel. 61
d = 4.817 Å, rel. 34
d = 3.525 Å, rel. 43
d = 3.368 Å, rel. 100
d = 3.123 Å, rel. 20
d = 3.094 Å, rel. 25
d = 2.436 Å, rel. 21

Structural model:
Cell lengths 8.531, 8.542, 8.545 Å; angles 104.08, 104.20, 104.17 degrees
Element x y z (fractional)
K 0.000 0.000 0.000
K 0.390 0.495 0.495
Li 0.274 0.985 0.666
Nb 0.049 0.566 0.127
Nb 0.351 0.379 0.938
Nb 0.544 0.059 0.062
Nb 0.667 0.252 0.741
Nb 0.736 0.763 0.253
Nb 0.856 0.445 0.446
P 0.195 0.682 0.812
P 0.419 0.906 0.364
P 0.971 0.130 0.588
O 0.010 0.472 0.295
O 0.055 0.641 0.639
O 0.114 0.698 0.956
O 0.144 0.157 0.723
O 0.194 0.432 0.062
O 0.248 0.763 0.325
O 0.278 0.540 0.798
O 0.327 0.856 0.842
O 0.378 0.196 0.016
O 0.405 0.988 0.222
O 0.449 0.039 0.538
O 0.486 0.334 0.772
O 0.543 0.559 0.091
O 0.562 0.823 0.378
O 0.625 0.094 0.882
O 0.670 0.906 0.117
O 0.697 0.253 0.242
O 0.719 0.377 0.585
O 0.758 0.609 0.398
O 0.830 0.118 0.673
O 0.849 0.406 0.936
O 0.901 0.720 0.154
O 0.930 0.958 0.447
O 0.986 0.274 0.508

=====

No. 7
This entry pairs a crystal structure of Cs2Re2S5 with its calculated powder diffraction line list. Radiation: copper Kα. Structure: a crystal structure in the Materials Project, relaxed with GGA-PBE.

The 8 most intense peaks (2θ from 10° to 90°), low angle first:
d = 7.115 Å, rel. 100
d = 6.160 Å, rel. 28
d = 4.596 Å, rel. 24
d = 3.604 Å, rel. 30
d = 3.062 Å, rel. 22
d = 2.021 Å, rel. 42
d = 2.005 Å, rel. 27
d = 1.813 Å, rel. 28

Structural model:
Cell lengths 12.547, 12.547, 12.547 Å; angles 69.09, 69.09, 69.09 degrees
Element x y z (fractional)
Cs 0.029 0.819 0.628
Cs 0.128 0.319 0.529
Cs 0.181 0.372 0.971
Cs 0.319 0.529 0.128
Cs 0.372 0.971 0.181
Cs 0.471 0.872 0.681
Cs 0.529 0.128 0.319
Cs 0.628 0.029 0.819
Cs 0.681 0.471 0.872
Cs 0.819 0.628 0.029
Cs 0.872 0.681 0.471
Cs 0.971 0.181 0.372
Re 0.057 0.922 0.135
Re 0.078 0.865 0.943
Re 0.135 0.057 0.922
Re 0.365 0.578 0.443
Re 0.422 0.557 0.635
Re 0.443 0.365 0.578
Re 0.557 0.635 0.422
Re 0.578 0.443 0.365
Re 0.635 0.422 0.557
Re 0.865 0.943 0.078
Re 0.922 0.135 0.057
Re 0.943 0.078 0.865
S 0.000 0.247 0.856
S 0.000 0.753 0.144
S 0.104 0.104 0.104
S 0.130 0.843 0.315
S 0.144 0.000 0.753
S 0.157 0.685 0.870
S 0.185 0.657 0.370
S 0.247 0.856 0.000
S 0.250 0.250 0.250
S 0.253 0.500 0.644
S 0.315 0.130 0.843
S 0.343 0.630 0.815
S 0.356 0.747 0.500
S 0.370 0.185 0.657
S 0.396 0.396 0.396
S 0.500 0.356 0.747
S 0.500 0.644 0.253
S 0.604 0.604 0.604
S 0.630 0.815 0.343
S 0.644 0.253 0.500
S 0.657 0.370 0.185
S 0.685 0.870 0.157
S 0.747 0.500 0.356
S 0.750 0.750 0.750
S 0.753 0.144 0.000
S 0.815 0.343 0.630
S 0.843 0.315 0.130
S 0.856 0.000 0.247
S 0.870 0.157 0.685
S 0.896 0.896 0.896